For Li9Mn2Co5O16, a crystal structure in the Materials Project, relaxed with PBE+U gives the calculated PXRD pattern in this record (Cu Kα X-rays).
Peak positions follow from Bragg's law for the DFT cell and can differ from measured ones.

Structure:
a = 5.9293 Å, b = 6.4356 Å, c = 8.1331 Å
α = 88.95°, β = 89.09°, γ = 66.02°
Space group P1 (No. 1)
Unique sites:
Li 0.0000 0.0000 0.0000
Li 0.0010 0.9977 0.4889
Li 0.1240 0.2442 0.2383
Li 0.2588 0.4975 0.0010
Li 0.3819 0.7470 0.7478
Li 0.5042 0.9965 0.4871
Li 0.6362 0.2434 0.2405
Li 0.7439 0.5054 0.0016
Li 0.8719 0.7598 0.7492
Mn 0.1320 0.2452 0.7454
Mn 0.6356 0.2451 0.7446
Co 0.2553 0.5009 0.4910
Co 0.3638 0.7591 0.2424
Co 0.5028 0.9974 0.9949
Co 0.7525 0.5011 0.4926
Co 0.8737 0.7539 0.2442
O 0.1396 0.2627 0.5036
O 0.1644 0.2269 0.9819
O 0.2620 0.5115 0.2543
O 0.2791 0.4749 0.7344
O 0.3698 0.7389 0.4823
O 0.3844 0.7660 0.0061
O 0.4838 0.9936 0.2296
O 0.5208 0.0026 0.7543
O 0.6158 0.2386 0.9804
O 0.6351 0.2615 0.5052
O 0.7414 0.4927 0.7350
O 0.7602 0.5129 0.2561
O 0.8336 0.7761 0.0085
O 0.8739 0.7327 0.4854
O 0.9751 0.0300 0.7424
O 0.9903 0.9826 0.2446

Most intense lines, 5° ≤ 2θ ≤ 70°, most intense first:
index  2θ (°)  intensity
0 1 1  18.51  100
2 -1 0  42.01  31
0 0 4  44.57  26
2 3 0  44.73  25
0 1 -3  36.71  24
2 0 1  34.81  17
2 -1 4  62.81  15
-2 1 4  63.01  7
0 4 0  63.26  7
2 1 -2  37.95  7